[1]
# Ce3Np
Calculated powder diffractogram, Cu Kα (λ = 1.5418 Å). Input: the PBE geometry in Alexandria.

Structural model:
```
4
Lattice="-1.5755 5.6609 2.7849 1.5755 -5.6609 2.7849 1.5755 5.6609 -2.7849" Properties=species:S:1:pos:R:3 pbc="T T T"
Ce 0.0000 0.0000 0.0000
Ce 1.5755 3.1877 0.2520
Ce 0.0000 2.4732 3.0369
Np 1.5755 0.0000 2.3509
```

Peak list (6 most intense, 2θ = 10–90°, by angle)
two_theta	I/Imax
17.75	18
31.61	33
32.14	25
35.94	17
36.40	100
59.47	17

[2]
# CeNp2O11
Calculated powder diffractogram, Cu Kα (λ = 1.5418 Å). Input: the PBE geometry in Alexandria.

Structural model:
```
28
Lattice="8.2728 0.0000 0.0000 -3.3086 7.6000 0.0000 -3.6346 -3.0371 7.0986" Properties=species:S:1:pos:R:3 pbc="T T T"
Ce 0.0000 0.0000 0.0000
Ce 4.7994 2.2810 3.5477
Np -1.6037 -1.4266 3.7038
Np 0.8254 7.3704 0.1531
Np 0.6767 2.6684 3.3291
Np 2.6408 0.5945 6.8723
O -0.9046 -0.7337 2.1018
O -3.8979 4.6033 3.4054
O -2.4321 0.2344 4.0981
O -2.2381 -2.0916 5.3462
O -3.1958 3.3847 5.6766
O -1.2627 2.6890 3.5859
O 0.5005 1.5349 1.8630
O -0.2813 4.2319 1.4411
O 2.2852 -0.1084 0.5691
O 0.5862 -0.5521 4.9039
O 0.9153 5.0128 1.3557
O 0.7441 -1.0293 6.2535
O 0.8091 0.8590 5.0000
O 1.4076 5.0552 2.7083
O -0.9699 4.0252 6.9250
O 2.6367 2.4679 3.1201
O 0.8928 3.6321 4.9072
O 4.5164 0.6276 1.7835
O 5.4731 3.0734 1.3587
O 3.5969 -1.1300 6.6863
O 3.5996 1.1714 5.3826
O 5.5105 5.4139 0.0157
```

Peak list (6 most intense, 2θ = 10–90°, by angle)
two_theta	I/Imax
16.24	69
25.09	53
25.52	100
26.22	47
27.92	85
32.81	28

[3]
# Tb2CeNpO8
Calculated powder diffractogram, Cu Kα (λ = 1.5418 Å). Input: the PBE geometry in Alexandria.

Structural model:
```
12
Lattice="3.8244 0.0000 0.0000 0.0000 7.5618 0.0000 -0.0073 0.0000 5.3870" Properties=species:S:1:pos:R:3 pbc="T T T"
Tb 0.0000 1.8781 0.0000
Tb 0.0000 5.6837 0.0000
Ce 1.9086 3.7809 2.6935
Np 1.9086 0.0000 2.6935
O -0.0007 3.7809 1.3600
O 3.8179 3.7809 4.0269
O 0.0005 0.0000 1.4584
O 1.9049 1.7398 3.9819
O 1.9049 5.8220 3.9819
O 1.9122 1.7398 1.4051
O 1.9122 5.8220 1.4051
O 3.8167 0.0000 3.9285
```

Peak list (6 most intense, 2θ = 10–90°, by angle)
two_theta	I/Imax
28.63	100
28.85	98
33.30	66
47.80	68
56.58	38
56.96	30

[4]
# CeYNpO6
Calculated powder diffractogram, Cu Kα (λ = 1.5418 Å). Input: the PBE geometry in Alexandria.

Structural model:
```
18
Lattice="5.7836 0.0000 0.0000 -2.8918 5.0088 0.0000 0.0000 0.0000 9.5960" Properties=species:S:1:pos:R:3 pbc="T T T"
Ce 0.0000 0.0000 0.0000
Ce 0.0000 0.0000 4.7980
Y 0.0000 3.3392 2.3990
Y 2.8918 1.6696 7.1970
Np 0.0000 3.3392 7.1970
Np 2.8918 1.6696 2.3990
O -0.8968 1.7837 6.0852
O -1.7955 3.3403 8.3088
O 0.8968 1.7837 8.3088
O -0.8987 4.8936 6.0852
O 1.9931 0.1152 1.2872
O 1.0963 1.6685 3.5108
O 1.7955 3.3403 6.0852
O 0.8987 4.8936 8.3088
O 3.7905 0.1152 3.5108
O 1.9950 3.2251 1.2872
O 4.6873 1.6685 1.2872
O 3.7886 3.2251 3.5108
```

Peak list (6 most intense, 2θ = 10–90°, by angle)
two_theta	I/Imax
20.00	31
25.71	100
30.92	58
40.64	30
49.36	48
51.92	29

[5]
# CeNp5P6
Calculated powder diffractogram, Cu Kα (λ = 1.5418 Å). Input: the PBE geometry in Alexandria.

Structural model:
```
12
Lattice="3.4496 -5.9783 0.0000 3.4496 5.9783 0.0000 -2.3029 0.0000 6.5176" Properties=species:S:1:pos:R:3 pbc="T T T"
Ce 0.0000 0.0000 0.0000
Np 2.2981 4.0159 3.2588
Np 3.4496 2.0009 0.0000
Np 2.2981 0.0000 3.2588
Np 3.4496 -2.0009 0.0000
Np 2.2981 -4.0159 3.2588
P 1.1739 2.0328 1.6598
P 0.0470 0.0000 4.8758
P 1.1739 -2.0328 1.6598
P 3.4223 2.0328 4.8578
P 4.5493 0.0000 1.6418
P 3.4223 -2.0328 4.8578
```

Peak list (6 most intense, 2θ = 10–90°, by angle)
two_theta	I/Imax
27.40	100
31.74	93
45.50	69
53.95	37
75.37	21
84.15	18

[6]
# Ce2Pm3NpP6
Calculated powder diffractogram, Cu Kα (λ = 1.5418 Å). Input: the PBE geometry in Alexandria.

Structural model:
```
12
Lattice="8.9137 -2.0413 0.0000 8.9137 2.0413 0.0000 -1.9012 0.0000 7.9583" Properties=species:S:1:pos:R:3 pbc="T T T"
Ce 2.3209 0.0000 2.6399
Ce 13.6053 0.0000 5.3184
Pm 1.4027 0.0000 6.6318
Pm 7.9631 0.0000 3.9791
Pm 14.5235 0.0000 1.3264
Np 8.9137 0.0000 0.0000
P -0.4499 0.0000 1.9105
P 16.3761 0.0000 6.0478
P 5.1151 0.0000 3.3434
P 4.2642 0.0000 7.2853
P 11.6620 0.0000 0.6730
P 10.8111 0.0000 4.6148
```

Peak list (6 most intense, 2θ = 10–90°, by angle)
two_theta	I/Imax
26.72	86
30.94	100
44.33	73
52.49	32
55.08	19
81.66	19

[7]
# Ce2PrNpP4
Calculated powder diffractogram, Cu Kα (λ = 1.5418 Å). Input: the PBE geometry in Alexandria.

Structural model:
```
8
Lattice="-2.8905 2.8905 5.7828 2.8905 -2.8905 5.7828 2.8905 2.8905 -5.7828" Properties=species:S:1:pos:R:3 pbc="T T T"
Ce 0.0000 0.0000 0.0000
Ce 0.0000 2.8905 2.8914
Pr 2.8905 0.0000 2.8914
Np 0.0000 0.0000 5.7828
P 0.0000 0.0000 2.9415
P 0.0000 2.8905 0.0474
P 0.0000 0.0000 8.6241
P 0.0000 2.8905 5.7354
```

Peak list (6 most intense, 2θ = 10–90°, by angle)
two_theta	I/Imax
26.71	88
30.93	100
44.31	74
52.49	44
55.02	26
73.21	33

[8]
# CeNpPa
Calculated powder diffractogram, Cu Kα (λ = 1.5418 Å). Input: the PBE geometry in Alexandria.

Structural model:
```
12
Lattice="5.9555 0.0000 0.0000 0.0000 5.0440 0.0000 0.0000 0.0000 8.9231" Properties=species:S:1:pos:R:3 pbc="T T T"
Ce 0.1016 1.2610 1.4745
Ce 2.8761 3.7830 5.9360
Ce 3.0794 1.2610 2.9871
Ce 5.8538 3.7830 7.4486
Np 0.9338 1.2610 7.8912
Np 2.0439 3.7830 3.4296
Np 3.9115 1.2610 5.4935
Np 5.0217 3.7830 1.0319
Pa 0.5500 1.2610 5.2241
Pa 2.4278 3.7830 0.7625
Pa 3.5277 1.2610 8.1606
Pa 5.4055 3.7830 3.6990
```

Peak list (6 most intense, 2θ = 10–90°, by angle)
two_theta	I/Imax
20.22	22
35.01	100
35.60	46
42.98	22
56.99	20
63.55	22

[9]
# Ce2NpPd2S6
Calculated powder diffractogram, Cu Kα (λ = 1.5418 Å). Input: the PBE geometry in Alexandria.

Structural model:
```
11
Lattice="6.6773 0.0000 0.0000 -3.3387 5.7827 0.0000 0.0000 0.0000 6.4242" Properties=species:S:1:pos:R:3 pbc="T T T"
Ce 0.0000 3.8552 0.0000
Ce 3.3387 1.9276 0.0000
Np 0.0000 0.0000 3.2121
Pd 0.0000 3.8552 3.2121
Pd 3.3387 1.9276 3.2121
S -1.1501 1.9920 4.7281
S -2.1886 3.7907 1.6961
S 2.3002 0.0000 4.7281
S 1.1501 1.9920 1.6961
S 4.3772 0.0000 1.6961
S 2.1886 3.7907 4.7281
```

Peak list (6 most intense, 2θ = 10–90°, by angle)
two_theta	I/Imax
20.67	49
26.70	78
38.91	100
47.15	36
62.73	24
82.05	24

[10]
# RbCeNpS4
Calculated powder diffractogram, Cu Kα (λ = 1.5418 Å). Input: the PBE geometry in Alexandria.

Structural model:
```
14
Lattice="-4.2113 4.3386 6.0548 4.2113 -4.3386 6.0548 4.2113 4.3386 -6.0548" Properties=species:S:1:pos:R:3 pbc="T T T"
Rb 0.0000 2.1693 1.5750
Rb 4.2113 2.1693 4.4798
Ce 4.2113 0.0000 0.0000
Ce 0.0000 0.0000 6.0548
Np 2.1057 2.1693 -3.0274
Np 2.1057 -2.1693 3.0274
S 4.2113 -0.4262 2.7953
S 4.2113 3.9124 -2.7953
S 2.4466 2.1693 -0.3028
S 5.9760 2.1693 -0.3028
S -1.7647 2.1693 6.3576
S 1.7647 2.1693 6.3576
S 0.0000 0.4262 8.8501
S 0.0000 4.7648 3.2595
```

Peak list (6 most intense, 2θ = 10–90°, by angle)
two_theta	I/Imax
12.55	100
24.32	42
24.62	87
29.54	83
38.48	43
42.26	79

[11]
# Ce5Np2S12
Calculated powder diffractogram, Cu Kα (λ = 1.5418 Å). Input: the PBE geometry in Alexandria.

Structural model:
```
19
Lattice="7.7690 -3.6995 0.0000 7.7690 3.6995 0.0000 -2.6683 0.0000 8.6036" Properties=species:S:1:pos:R:3 pbc="T T T"
Ce 0.0000 0.0000 0.0000
Ce 4.2529 0.0000 1.2166
Ce 3.0600 0.0000 5.7489
Ce 9.8097 0.0000 2.8547
Ce 8.6169 0.0000 7.3870
Np 6.4349 1.8112 4.3018
Np 6.4349 -1.8112 4.3018
S -0.6431 0.0000 2.6337
S 3.9409 1.7035 3.4886
S 2.9317 1.8452 8.0357
S 9.9380 1.8452 0.5679
S 8.9288 1.7035 5.1150
S 6.9955 0.0000 2.3899
S 5.8743 0.0000 6.2137
S 3.9409 -1.7035 3.4886
S 2.9317 -1.8452 8.0357
S 9.9380 -1.8452 0.5679
S 8.9288 -1.7035 5.1150
S 13.5128 0.0000 5.9699
```

Peak list (6 most intense, 2θ = 10–90°, by angle)
two_theta	I/Imax
10.28	54
21.61	91
23.12	100
26.21	62
26.89	64
31.88	100

[12]
# CeNp3S4
Calculated powder diffractogram, Cu Kα (λ = 1.5418 Å). Input: the PBE geometry in Alexandria.

Structural model:
```
8
Lattice="3.9273 -5.5585 0.0000 3.9273 5.5585 0.0000 0.0000 0.0000 3.9253" Properties=species:S:1:pos:R:3 pbc="T T T"
Ce 0.0000 0.0000 0.0000
Np 1.9636 2.7793 1.9627
Np 1.9636 -2.7793 1.9627
Np 3.9273 0.0000 0.0000
S 3.9273 2.7235 0.0000
S 2.0315 0.0000 1.9627
S 5.8230 0.0000 1.9627
S 3.9273 -2.7235 0.0000
```

Peak list (6 most intense, 2θ = 10–90°, by angle)
two_theta	I/Imax
27.82	100
32.23	100
46.23	73
54.81	50
76.73	34
85.68	26